Structure and simulated powder diffraction line list of Pt2RhAu (a crystal structure in Alexandria, relaxed with GGA-PBE; Cu Kα, 1.54184 Å).
Neutral-atom scattering factors, no anomalous dispersion.

Main lines, by intensity (2θ from 10° to 90°):
39.22 deg, I 100.0, hkl 2 0 0; 45.51 deg, I 65.8, hkl 1 1 1; 38.92 deg, I 34.0, hkl 0 0 2; 79.85 deg, I 26.0, hkl 3 1 1; 66.12 deg, I 21.8, hkl 2 0 2; 66.53 deg, I 21.4, hkl 0 2 0; 79.46 deg, I 13.1, hkl 1 1 3; 80.04 deg, I 12.9, hkl 2 2 0; 84.32 deg, I 11.5, hkl 4 0 0; 83.55 deg, I 3.9, hkl 0 0 4

Cell and atoms:
```
data_Pt2RhAu
_chemical_formula_sum 'Pt2 Rh1 Au1'
_cell_length_a 4.869
_cell_length_b 2.811
_cell_length_c 4.906
_cell_angle_alpha 90.00
_cell_angle_beta 109.36
_cell_angle_gamma 90.00
_space_group_name_H-M_alt 'P 1 2/m 1'
_space_group_IT_number 10
loop_
_space_group_symop_operation_xyz
'x,y,z'
'-x,-y,-z'
'-x,y,-z'
'x,-y,z'
loop_
_atom_site_label
_atom_site_fract_x
_atom_site_fract_y
_atom_site_fract_z
Pt1 0.000 0.000 0.000
Pt2 0.500 0.500 0.000
Rh1 0.000 0.500 0.500
Au1 0.500 0.000 0.500
```